Entry 1:
This entry pairs a crystal structure of Li2TlAg with its computed X-ray diffraction stick pattern. Radiation: Cu Ka. Structure: a GGA-PBE-relaxed structure.
Peak positions follow from Bragg's law for the DFT cell and can differ from measured ones.

Unit cell a=4.6850 b=4.6850 c=4.6850 alpha=60.00 beta=60.00 gamma=60.00
Atoms (fractional coordinates):
Li 0.2500 0.2500 0.2500
Li 0.7500 0.7500 0.7500
Tl 0.0000 0.0000 0.0000
Ag 0.5000 0.5000 0.5000

Most intense lines, 10° ≤ 2θ ≤ 90°, sorted by position:
2θ 23.3, intensity 15
2θ 26.9, intensity 100
2θ 38.4, intensity 89
2θ 45.4, intensity 9
2θ 47.5, intensity 28
2θ 55.5, intensity 15
2θ 61.0, intensity 4
2θ 62.7, intensity 37
2θ 69.5, intensity 31
2θ 82.3, intensity 10
2θ 87.0, intensity 3
2θ 88.6, intensity 19

---

Entry 2:
This entry pairs a crystal structure of LiZn2Ag with its computed X-ray diffraction stick pattern. Radiation: Cu Ka. Structure: a GGA-PBE-relaxed structure.
Peak positions follow from Bragg's law for the DFT cell and can differ from measured ones.

Unit cell a=4.4343 b=4.4343 c=4.4343 alpha=60.00 beta=60.00 gamma=60.00
Atoms (fractional coordinates):
Li 0.0000 0.0000 0.0000
Zn 0.2500 0.2500 0.2500
Zn 0.7500 0.7500 0.7500
Ag 0.5000 0.5000 0.5000

Most intense lines, 10° ≤ 2θ ≤ 90°, sorted by position:
2θ 24.6, intensity 44
2θ 28.5, intensity 1
2θ 40.7, intensity 100
2θ 48.1, intensity 20
2θ 58.9, intensity 16
2θ 64.8, intensity 8
2θ 74.1, intensity 31
2θ 79.4, intensity 6
2θ 88.1, intensity 10